Record 1
The following is a simulated X-ray diffraction stick pattern of KPa2Cl8. It was derived from a DFT-relaxed cell (PBE, Alexandria), using λ = 1.5418 Å (Cu Kα).
Neutral-atom scattering factors, no anomalous dispersion.

Largest 8 diffraction maxima, by intensity, 2θ from 5° to 70°:
| d/Å | Rel. int. |
| --- | --- |
| 4.322 | 100 |
| 4.142 | 96 |
| 2.180 | 92 |
| 6.545 | 88 |
| 2.584 | 87 |
| 2.256 | 68 |
| 3.679 | 56 |
| 5.069 | 40 |

Cell and atoms:
abc: 8.812 8.812 8.812
angles: 144.45 131.35 61.69
Fractional positions:
K 0.000 0.000 0.000
Pa 0.343 0.343 0.000
Pa 0.657 0.657 0.000
Cl 0.052 0.946 0.596
Cl 0.269 0.500 0.769
Cl 0.350 0.456 0.404
Cl 0.396 0.896 0.500
Cl 0.604 0.104 0.500
Cl 0.650 0.054 0.106
Cl 0.731 0.500 0.231
Cl 0.948 0.544 0.894



Record 2
The following is a simulated X-ray diffraction stick pattern of Li4YCd4. It was derived from a DFT-relaxed cell (PBE, Alexandria), using λ = 1.5418 Å (Cu Kα).
Neutral-atom scattering factors, no anomalous dispersion.

Largest 8 diffraction maxima, by intensity, 2θ from 5° to 70°:
| d/Å | Rel. int. |
| --- | --- |
| 2.956 | 100 |
| 4.916 | 43 |
| 2.002 | 39 |
| 2.252 | 32 |
| 2.897 | 25 |
| 2.668 | 21 |
| 1.373 | 16 |
| 2.192 | 16 |

Cell and atoms:
abc: 6.199 6.199 9.831
angles: 90.00 90.00 90.00
Fractional positions:
Li 0.032 0.250 0.175
Li 0.250 0.032 0.675
Li 0.250 0.468 0.675
Li 0.468 0.250 0.175
Li 0.532 0.750 0.825
Li 0.750 0.532 0.325
Li 0.750 0.968 0.325
Li 0.968 0.750 0.825
Y 0.250 0.750 0.250
Y 0.750 0.250 0.750
Cd 0.017 0.250 0.462
Cd 0.250 0.017 0.962
Cd 0.250 0.483 0.962
Cd 0.483 0.250 0.462
Cd 0.517 0.750 0.538
Cd 0.750 0.517 0.038
Cd 0.750 0.983 0.038
Cd 0.983 0.750 0.538



What did the second record say?
The following is a simulated X-ray diffraction stick pattern of Li4YCd4. It was derived from a DFT-relaxed cell (PBE, Alexandria), using λ = 1.5418 Å (Cu Kα).
Neutral-atom scattering factors, no anomalous dispersion.

Largest 8 diffraction maxima, by intensity, 2θ from 5° to 70°:
| d/Å | Rel. int. |
| --- | --- |
| 2.956 | 100 |
| 4.916 | 43 |
| 2.002 | 39 |
| 2.252 | 32 |
| 2.897 | 25 |
| 2.668 | 21 |
| 1.373 | 16 |
| 2.192 | 16 |

Cell and atoms:
abc: 6.199 6.199 9.831
angles: 90.00 90.00 90.00
Fractional positions:
Li 0.032 0.250 0.175
Li 0.250 0.032 0.675
Li 0.250 0.468 0.675
Li 0.468 0.250 0.175
Li 0.532 0.750 0.825
Li 0.750 0.532 0.325
Li 0.750 0.968 0.325
Li 0.968 0.750 0.825
Y 0.250 0.750 0.250
Y 0.750 0.250 0.750
Cd 0.017 0.250 0.462
Cd 0.250 0.017 0.962
Cd 0.250 0.483 0.962
Cd 0.483 0.250 0.462
Cd 0.517 0.750 0.538
Cd 0.750 0.517 0.038
Cd 0.750 0.983 0.038
Cd 0.983 0.750 0.538